# Fe5O8F2
Theoretical powder X-ray diffraction pattern, copper Kα. Input: a GGA+U-relaxed structure.
No peak broadening, texture or thermal motion is included.

Peak list (6 most intense, 15° ≤ 2θ ≤ 90°, in order of falling intensity)
| 2theta | I/Imax |
| --- | --- |
| 26.29 | 100 |
| 27.87 | 95 |
| 35.43 | 52 |
| 35.61 | 50 |
| 52.43 | 29 |
| 54.35 | 27 |

Structure:
```
data_Fe5O8F2
_symmetry_space_group_name_H-M 'P 1'
_symmetry_Int_Tables_number 1
_cell_length_a 4.661
_cell_length_b 7.597
_cell_length_c 9.814
_cell_angle_alpha 70.28
_cell_angle_beta 86.77
_cell_angle_gamma 88.28
loop_
_symmetry_equiv_pos_as_xyz
'x,y,z'
loop_
_atom_site_label
_atom_site_type_symbol
_atom_site_fract_x
_atom_site_fract_y
_atom_site_fract_z
_atom_site_occupancy
Fe1 Fe 0.000 0.000 0.000 1
Fe2 Fe 0.003 0.597 0.204 1
Fe3 Fe 0.011 0.198 0.406 1
Fe4 Fe 0.473 0.295 0.088 1
Fe5 Fe 0.475 0.092 0.691 1
Fe6 Fe 0.500 0.500 0.500 1
Fe7 Fe 0.525 0.908 0.309 1
Fe8 Fe 0.527 0.705 0.912 1
Fe9 Fe 0.989 0.802 0.594 1
Fe10 Fe 0.997 0.403 0.796 1
O1 O 0.178 0.238 0.968 1
O2 O 0.186 0.436 0.374 1
O3 O 0.189 0.029 0.579 1
O4 O 0.300 0.338 0.675 1
O5 O 0.305 0.141 0.273 1
O6 O 0.308 0.539 0.079 1
O7 O 0.309 0.938 0.882 1
O8 O 0.312 0.738 0.479 1
O9 O 0.688 0.262 0.521 1
O10 O 0.691 0.062 0.118 1
O11 O 0.692 0.461 0.921 1
O12 O 0.695 0.859 0.727 1
O13 O 0.700 0.662 0.325 1
O14 O 0.811 0.971 0.421 1
O15 O 0.814 0.564 0.626 1
O16 O 0.822 0.762 0.032 1
F1 F 0.200 0.641 0.782 1
F2 F 0.204 0.842 0.184 1
F3 F 0.796 0.158 0.816 1
F4 F 0.800 0.359 0.218 1
```



# Fe2OF3
Theoretical powder X-ray diffraction pattern, copper Kα. Input: a GGA+U-relaxed structure.
No peak broadening, texture or thermal motion is included.

Peak list (6 most intense, 15° ≤ 2θ ≤ 90°, in order of falling intensity)
| 2theta | I/Imax |
| --- | --- |
| 26.66 | 100 |
| 26.55 | 99 |
| 52.18 | 33 |
| 51.18 | 31 |
| 34.02 | 31 |
| 51.81 | 30 |

Structure:
```
data_Fe2OF3
_symmetry_space_group_name_H-M 'P 1'
_symmetry_Int_Tables_number 1
_cell_length_a 4.752
_cell_length_b 5.663
_cell_length_c 13.660
_cell_angle_alpha 79.67
_cell_angle_beta 89.76
_cell_angle_gamma 89.88
loop_
_symmetry_equiv_pos_as_xyz
'x,y,z'
loop_
_atom_site_label
_atom_site_type_symbol
_atom_site_fract_x
_atom_site_fract_y
_atom_site_fract_z
_atom_site_occupancy
Fe1 Fe 0.000 0.000 0.000 1
Fe2 Fe 0.004 0.194 0.396 1
Fe3 Fe 0.012 0.391 0.796 1
Fe4 Fe 0.038 0.589 0.207 1
Fe5 Fe 0.478 0.288 0.608 1
Fe6 Fe 0.497 0.890 0.798 1
Fe7 Fe 0.506 0.693 0.395 1
Fe8 Fe 0.521 0.102 0.186 1
Fe9 Fe 0.557 0.481 0.988 1
Fe10 Fe 0.972 0.793 0.582 1
O1 O 0.218 0.491 0.349 1
O2 O 0.296 0.190 0.748 1
O3 O 0.697 0.189 0.047 1
O4 O 0.710 0.586 0.852 1
O5 O 0.792 0.895 0.445 1
F1 F 0.196 0.123 0.531 1
F2 F 0.201 0.918 0.139 1
F3 F 0.202 0.340 0.930 1
F4 F 0.207 0.701 0.734 1
F5 F 0.298 0.002 0.334 1
F6 F 0.309 0.435 0.121 1
F7 F 0.314 0.816 0.934 1
F8 F 0.323 0.629 0.537 1
F9 F 0.693 0.757 0.259 1
F10 F 0.695 0.954 0.664 1
F11 F 0.713 0.384 0.463 1
F12 F 0.802 0.081 0.852 1
F13 F 0.804 0.672 0.061 1
F14 F 0.809 0.263 0.264 1
F15 F 0.819 0.455 0.660 1
```



# Fe5O2F8
Theoretical powder X-ray diffraction pattern, copper Kα. Input: a GGA+U-relaxed structure.
No peak broadening, texture or thermal motion is included.

Peak list (6 most intense, 15° ≤ 2θ ≤ 90°, in order of falling intensity)
| 2theta | I/Imax |
| --- | --- |
| 26.29 | 100 |
| 33.46 | 30 |
| 54.10 | 19 |
| 51.26 | 17 |
| 51.37 | 16 |
| 50.89 | 15 |

Structure:
```
data_Fe5O2F8
_symmetry_space_group_name_H-M 'P 1'
_symmetry_Int_Tables_number 1
_cell_length_a 5.753
_cell_length_b 4.794
_cell_length_c 13.705
_cell_angle_alpha 90.00
_cell_angle_beta 100.88
_cell_angle_gamma 90.00
loop_
_symmetry_equiv_pos_as_xyz
'x,y,z'
loop_
_atom_site_label
_atom_site_type_symbol
_atom_site_fract_x
_atom_site_fract_y
_atom_site_fract_z
_atom_site_occupancy
Fe1 Fe 0.035 0.000 0.396 1
Fe2 Fe 0.148 0.479 0.197 1
Fe3 Fe 0.258 0.013 0.011 1
Fe4 Fe 0.365 0.529 0.789 1
Fe5 Fe 0.444 0.983 0.600 1
Fe6 Fe 0.556 0.483 0.400 1
Fe7 Fe 0.635 0.029 0.211 1
Fe8 Fe 0.742 0.513 0.989 1
Fe9 Fe 0.852 0.979 0.803 1
Fe10 Fe 0.965 0.500 0.604 1
O1 O 0.274 0.701 0.670 1
O2 O 0.331 0.183 0.133 1
O3 O 0.669 0.683 0.867 1
O4 O 0.726 0.201 0.330 1
F1 F 0.053 0.699 0.051 1
F2 F 0.056 0.299 0.761 1
F3 F 0.125 0.193 0.539 1
F4 F 0.193 0.797 0.878 1
F5 F 0.222 0.299 0.336 1
F6 F 0.368 0.796 0.453 1
F7 F 0.440 0.286 0.942 1
F8 F 0.462 0.705 0.253 1
F9 F 0.538 0.205 0.747 1
F10 F 0.560 0.786 0.058 1
F11 F 0.632 0.296 0.547 1
F12 F 0.778 0.799 0.664 1
F13 F 0.807 0.297 0.122 1
F14 F 0.875 0.693 0.461 1
F15 F 0.944 0.799 0.239 1
F16 F 0.947 0.199 0.949 1
```



# Fe4O7F
Theoretical powder X-ray diffraction pattern, copper Kα. Input: a GGA+U-relaxed structure.
No peak broadening, texture or thermal motion is included.

Peak list (6 most intense, 15° ≤ 2θ ≤ 90°, in order of falling intensity)
| 2theta | I/Imax |
| --- | --- |
| 35.55 | 100 |
| 27.06 | 92 |
| 27.90 | 90 |
| 53.50 | 55 |
| 54.46 | 53 |
| 68.76 | 37 |

Structure:
```
data_Fe4O7F
_symmetry_space_group_name_H-M 'P 1'
_symmetry_Int_Tables_number 1
_cell_length_a 9.670
_cell_length_b 9.670
_cell_length_c 4.592
_cell_angle_alpha 91.63
_cell_angle_beta 91.63
_cell_angle_gamma 36.45
loop_
_symmetry_equiv_pos_as_xyz
'x,y,z'
loop_
_atom_site_label
_atom_site_type_symbol
_atom_site_fract_x
_atom_site_fract_y
_atom_site_fract_z
_atom_site_occupancy
Fe1 Fe 0.000 0.000 0.000 1
Fe2 Fe 0.127 0.635 0.480 1
Fe3 Fe 0.247 0.247 0.007 1
Fe4 Fe 0.389 0.869 0.478 1
Fe5 Fe 0.504 0.504 0.985 1
Fe6 Fe 0.635 0.127 0.480 1
Fe7 Fe 0.755 0.755 0.980 1
Fe8 Fe 0.869 0.389 0.478 1
O1 O 0.055 0.548 0.177 1
O2 O 0.173 0.173 0.304 1
O3 O 0.208 0.703 0.795 1
O4 O 0.302 0.800 0.180 1
O5 O 0.426 0.426 0.289 1
O6 O 0.453 0.956 0.792 1
O7 O 0.548 0.055 0.177 1
O8 O 0.579 0.579 0.680 1
O9 O 0.679 0.679 0.286 1
O10 O 0.703 0.208 0.795 1
O11 O 0.800 0.302 0.180 1
O12 O 0.832 0.832 0.677 1
O13 O 0.929 0.929 0.293 1
O14 O 0.956 0.453 0.792 1
F1 F 0.077 0.077 0.689 1
F2 F 0.328 0.328 0.678 1
```



# Fe4OF7
Theoretical powder X-ray diffraction pattern, copper Kα. Input: a GGA+U-relaxed structure.
No peak broadening, texture or thermal motion is included.

Peak list (6 most intense, 15° ≤ 2θ ≤ 90°, in order of falling intensity)
| 2theta | I/Imax |
| --- | --- |
| 26.32 | 100 |
| 33.11 | 59 |
| 50.91 | 50 |
| 38.21 | 22 |
| 64.96 | 17 |
| 50.99 | 17 |

Structure:
```
data_Fe4OF7
_symmetry_space_group_name_H-M 'P 1'
_symmetry_Int_Tables_number 1
_cell_length_a 5.804
_cell_length_b 5.809
_cell_length_c 9.426
_cell_angle_alpha 88.50
_cell_angle_beta 88.41
_cell_angle_gamma 71.27
loop_
_symmetry_equiv_pos_as_xyz
'x,y,z'
loop_
_atom_site_label
_atom_site_type_symbol
_atom_site_fract_x
_atom_site_fract_y
_atom_site_fract_z
_atom_site_occupancy
Fe1 Fe 0.000 0.000 0.000 1
Fe2 Fe 0.104 0.111 0.352 1
Fe3 Fe 0.232 0.248 0.730 1
Fe4 Fe 0.351 0.349 0.109 1
Fe5 Fe 0.471 0.488 0.491 1
Fe6 Fe 0.608 0.613 0.863 1
Fe7 Fe 0.730 0.730 0.237 1
Fe8 Fe 0.888 0.836 0.614 1
O1 O 0.133 0.134 0.134 1
O2 O 0.155 0.565 0.613 1
F1 F 0.055 0.672 0.102 1
F2 F 0.074 0.077 0.589 1
F3 F 0.297 0.910 0.864 1
F4 F 0.338 0.333 0.334 1
F5 F 0.388 0.382 0.886 1
F6 F 0.409 0.811 0.364 1
F7 F 0.579 0.140 0.613 1
F8 F 0.582 0.582 0.086 1
F9 F 0.643 0.647 0.638 1
F10 F 0.673 0.054 0.103 1
F11 F 0.803 0.412 0.367 1
F12 F 0.839 0.845 0.836 1
F13 F 0.875 0.881 0.394 1
F14 F 0.903 0.300 0.866 1
```



# Fe3O2F4
Theoretical powder X-ray diffraction pattern, copper Kα. Input: a GGA+U-relaxed structure.
No peak broadening, texture or thermal motion is included.

Peak list (6 most intense, 15° ≤ 2θ ≤ 90°, in order of falling intensity)
| 2theta | I/Imax |
| --- | --- |
| 26.03 | 100 |
| 34.17 | 39 |
| 51.28 | 29 |
| 51.47 | 28 |
| 53.55 | 16 |
| 34.28 | 12 |

Structure:
```
data_Fe3O2F4
_symmetry_space_group_name_H-M 'P 1'
_symmetry_Int_Tables_number 1
_cell_length_a 7.876
_cell_length_b 4.840
_cell_length_c 5.773
_cell_angle_alpha 90.00
_cell_angle_beta 94.92
_cell_angle_gamma 90.00
loop_
_symmetry_equiv_pos_as_xyz
'x,y,z'
loop_
_atom_site_label
_atom_site_type_symbol
_atom_site_fract_x
_atom_site_fract_y
_atom_site_fract_z
_atom_site_occupancy
Fe1 Fe 0.000 0.000 0.000 1
Fe2 Fe 0.000 0.500 0.500 1
Fe3 Fe 0.322 0.050 0.337 1
Fe4 Fe 0.322 0.450 0.837 1
Fe5 Fe 0.678 0.550 0.163 1
Fe6 Fe 0.678 0.950 0.663 1
O1 O 0.238 0.195 0.045 1
O2 O 0.238 0.305 0.545 1
O3 O 0.762 0.695 0.455 1
O4 O 0.762 0.805 0.955 1
F1 F 0.116 0.699 0.809 1
F2 F 0.116 0.801 0.309 1
F3 F 0.435 0.688 0.128 1
F4 F 0.435 0.812 0.628 1
F5 F 0.565 0.188 0.372 1
F6 F 0.565 0.312 0.872 1
F7 F 0.884 0.199 0.691 1
F8 F 0.884 0.301 0.191 1
```



# Fe5O2F8
Theoretical powder X-ray diffraction pattern, copper Kα. Input: a GGA+U-relaxed structure.
No peak broadening, texture or thermal motion is included.

Peak list (6 most intense, 15° ≤ 2θ ≤ 90°, in order of falling intensity)
| 2theta | I/Imax |
| --- | --- |
| 25.93 | 100 |
| 26.54 | 94 |
| 33.60 | 54 |
| 51.00 | 32 |
| 33.46 | 28 |
| 33.73 | 27 |

Structure:
```
data_Fe5O2F8
_symmetry_space_group_name_H-M 'P 1'
_symmetry_Int_Tables_number 1
_cell_length_a 4.804
_cell_length_b 5.801
_cell_length_c 13.545
_cell_angle_alpha 78.84
_cell_angle_beta 89.15
_cell_angle_gamma 88.86
loop_
_symmetry_equiv_pos_as_xyz
'x,y,z'
loop_
_atom_site_label
_atom_site_type_symbol
_atom_site_fract_x
_atom_site_fract_y
_atom_site_fract_z
_atom_site_occupancy
Fe1 Fe 0.000 0.000 0.000 1
Fe2 Fe 0.001 0.402 0.802 1
Fe3 Fe 0.017 0.597 0.202 1
Fe4 Fe 0.454 0.926 0.809 1
Fe5 Fe 0.462 0.526 0.006 1
Fe6 Fe 0.480 0.301 0.614 1
Fe7 Fe 0.488 0.121 0.199 1
Fe8 Fe 0.511 0.714 0.407 1
Fe9 Fe 0.971 0.809 0.594 1
Fe10 Fe 0.980 0.195 0.407 1
O1 O 0.293 0.441 0.139 1
O2 O 0.295 0.212 0.751 1
O3 O 0.299 0.817 0.943 1
O4 O 0.798 0.886 0.473 1
F1 F 0.175 0.916 0.150 1
F2 F 0.184 0.534 0.339 1
F3 F 0.193 0.110 0.550 1
F4 F 0.194 0.735 0.735 1
F5 F 0.198 0.330 0.948 1
F6 F 0.283 0.624 0.546 1
F7 F 0.300 0.031 0.340 1
F8 F 0.677 0.385 0.466 1
F9 F 0.688 0.585 0.868 1
F10 F 0.692 0.204 0.057 1
F11 F 0.697 0.967 0.676 1
F12 F 0.705 0.785 0.257 1
F13 F 0.780 0.080 0.864 1
F14 F 0.788 0.679 0.070 1
F15 F 0.796 0.504 0.659 1
F16 F 0.805 0.305 0.259 1
```



# Fe5O3F7
Theoretical powder X-ray diffraction pattern, copper Kα. Input: a GGA+U-relaxed structure.
No peak broadening, texture or thermal motion is included.

Peak list (6 most intense, 15° ≤ 2θ ≤ 90°, in order of falling intensity)
| 2theta | I/Imax |
| --- | --- |
| 26.05 | 100 |
| 26.34 | 93 |
| 34.21 | 78 |
| 51.72 | 40 |
| 51.31 | 32 |
| 51.52 | 28 |

Structure:
```
data_Fe5O3F7
_symmetry_space_group_name_H-M 'P 1'
_symmetry_Int_Tables_number 1
_cell_length_a 4.809
_cell_length_b 4.815
_cell_length_c 15.615
_cell_angle_alpha 89.87
_cell_angle_beta 89.79
_cell_angle_gamma 89.37
loop_
_symmetry_equiv_pos_as_xyz
'x,y,z'
loop_
_atom_site_label
_atom_site_type_symbol
_atom_site_fract_x
_atom_site_fract_y
_atom_site_fract_z
_atom_site_occupancy
Fe1 Fe 0.000 0.000 0.000 1
Fe2 Fe 0.007 0.007 0.800 1
Fe3 Fe 0.025 0.025 0.194 1
Fe4 Fe 0.033 0.027 0.400 1
Fe5 Fe 0.470 0.537 0.900 1
Fe6 Fe 0.484 0.482 0.302 1
Fe7 Fe 0.503 0.502 0.499 1
Fe8 Fe 0.529 0.459 0.106 1
Fe9 Fe 0.545 0.477 0.694 1
Fe10 Fe 0.971 0.972 0.605 1
O1 O 0.173 0.834 0.900 1
O2 O 0.325 0.326 0.403 1
O3 O 0.329 0.314 0.201 1
O4 O 0.686 0.669 0.596 1
O5 O 0.813 0.189 0.090 1
O6 O 0.816 0.191 0.709 1
F1 F 0.207 0.798 0.502 1
F2 F 0.213 0.802 0.298 1
F3 F 0.221 0.785 0.710 1
F4 F 0.222 0.783 0.090 1
F5 F 0.306 0.289 0.601 1
F6 F 0.307 0.300 0.004 1
F7 F 0.310 0.306 0.795 1
F8 F 0.702 0.695 0.005 1
F9 F 0.706 0.699 0.795 1
F10 F 0.708 0.706 0.398 1
F11 F 0.713 0.694 0.201 1
F12 F 0.791 0.216 0.900 1
F13 F 0.799 0.201 0.500 1
F14 F 0.806 0.211 0.300 1
```